The following is a theoretical XRD peak list of Se. It was derived from a DFT-relaxed cell (PBE, Alexandria), using Cu Kα.

Top 12 peaks for 2θ from 15° to 90°, by intensity:
2θ (°)	d (Å)	intensity	(hkl)
20.6	4.316	100.0	1 2 0
22.2	4.007	80.8	0 2 2
26.6	3.354	73.1	2 2 -3
18.3	4.844	56.4	0 2 1
26.4	3.379	45.0	2 2 -1
45.8	1.982	37.1	3 4 -4
25.3	3.521	33.8	1 1 -4
23.5	3.791	31.6	1 0 2
29.9	2.991	30.1	2 1 1
38.5	2.341	29.7	4 0 -4
20.8	4.279	26.3	2 1 -2
30.2	2.958	24.2	0 1 4

Structural model:
Cell: 9.3665 10.5347 15.3386 Å, 90.00 126.51 90.00°
Space group P2_1/c (No. 14)
One atom of each set of equivalent atoms:
Se 0.0087 0.0942 0.1427 [4 per cell]
Se 0.0639 0.6393 0.1386 [4 per cell]
Se 0.0733 0.0102 0.7570 [4 per cell]
Se 0.2135 0.1249 0.5335 [4 per cell]
Se 0.3103 0.0460 0.2264 [4 per cell]
Se 0.4018 0.2138 0.0460 [4 per cell]
Se 0.4085 0.6892 0.9882 [4 per cell]
Se 0.4775 0.2262 0.3294 [4 per cell]


The following is a theoretical XRD peak list of Se. It was derived from a DFT-relaxed cell (PBE, Alexandria), using Cu Kα.

Top 12 peaks for 2θ from 15° to 90°, by intensity:
2θ (°)	d (Å)	intensity	(hkl)
29.0	3.075	100.0	0 1 1
23.0	3.874	46.4	1 0 0
42.7	2.118	34.3	1 0 2
44.3	2.045	25.9	1 1 1
50.5	1.809	24.0	0 2 1
63.5	1.464	18.5	2 1 0
40.3	2.236	16.8	1 1 0
88.4	1.105	15.5	2 1 3
60.2	1.538	14.0	2 0 2
54.8	1.675	13.6	1 1 2
76.1	1.251	7.7	3 0 1
54.4	1.686	6.9	0 0 3

Structural model:
Cell: 4.4728 4.4728 5.0578 Å, 90.00 90.00 120.00°
Space group P3_221 (No. 154)
One atom of each set of equivalent atoms:
Se 0.0000 0.2219 0.3333 [3 per cell]


The following is a theoretical XRD peak list of Se. It was derived from a DFT-relaxed cell (PBE, Alexandria), using Cu Kα.

Top 12 peaks for 2θ from 15° to 90°, by intensity:
2θ (°)	d (Å)	intensity	(hkl)
22.7	3.920	100.0	1 1 -2
27.7	3.221	69.3	2 2 -1
15.0	5.901	66.0	1 1 -1
25.5	3.493	64.5	3 1 -2
33.1	2.705	33.0	1 1 2
23.9	3.718	31.0	0 0 2
52.4	1.745	27.5	3 3 1
23.5	3.786	22.0	0 2 0
39.8	2.264	21.4	4 2 -3
37.8	2.381	21.2	4 2 -2
39.2	2.300	21.0	3 1 1
30.8	2.900	20.5	3 1 -3

Structural model:
Cell: 12.2537 7.5724 9.5948 Å, 90.00 129.20 90.00°
Space group Cc (No. 9)
One atom of each set of equivalent atoms:
Se 0.0000 0.0607 0.0000 [4 per cell]
Se 0.1151 0.4281 0.6371 [4 per cell]
Se 0.1412 0.1682 0.4859 [4 per cell]
Se 0.3127 0.3936 0.9371 [4 per cell]
Se 0.3627 0.0624 0.6754 [4 per cell]


The following is a theoretical XRD peak list of Se. It was derived from a DFT-relaxed cell (PBE, Alexandria), using Cu Kα.

Top 12 peaks for 2θ from 15° to 90°, by intensity:
2θ (°)	d (Å)	intensity	(hkl)
22.9	3.875	100.0	1 0 -1
40.0	2.252	45.2	1 1 -1
32.4	2.766	39.1	0 1 0
34.9	2.569	27.0	1 0 1
37.0	2.427	26.6	0 0 2
50.0	1.824	22.2	0 1 2
48.3	1.883	21.1	1 1 1
42.8	2.113	17.8	2 0 -1
54.7	1.679	17.1	2 1 -1
62.4	1.488	14.2	1 1 -3
67.8	1.382	13.3	0 2 0
51.8	1.764	12.5	1 0 -3

Structural model:
Cell: 4.2267 2.7663 5.2907 Å, 90.00 113.45 90.00°
Space group P2/m (No. 10)
One atom of each set of equivalent atoms:
Se 0.1224 0.0000 0.2421 [2 per cell]